Computed X-ray powder pattern of KAsS2O for Cu Kα X-rays, from a cell relaxed with PBE.
Peak positions follow from Bragg's law for the DFT cell and can differ from measured ones.

Crystal structure
Unit cell a=5.443 b=5.443 c=4.057 alpha=90.00 beta=90.00 gamma=90.00
Space group P4/mmm (No. 123)
One atom of each set of equivalent atoms:
K  0.000  0.000  0.000 x1
As  0.500  0.500  0.500 x1
S  0.000  0.500  0.000 x2
O  0.000  0.000  0.500 x1

Principal peaks in the range 10° ≤ 2θ ≤ 90°, low angle first:
23.11°, d = 3.849 Å, I = 28
27.42°, d = 3.253 Å, I = 82
32.05°, d = 2.792 Å, I = 76
32.91°, d = 2.722 Å, I = 100
43.35°, d = 2.087 Å, I = 46
44.67°, d = 2.029 Å, I = 20
47.23°, d = 1.924 Å, I = 33
56.59°, d = 1.626 Å, I = 37
58.22°, d = 1.585 Å, I = 25
66.03°, d = 1.415 Å, I = 13
67.03°, d = 1.396 Å, I = 21
78.60°, d = 1.217 Å, I = 13